[1]
Starting from a structure optimized by DFT (GGA-PBE), the powder diffraction line list of Tb4Ga6FeGe6 was simulated for Cu Kα (λ = 1.5418 Å).
Intensities are scaled so that the largest is 100.

Structure:
Unit cell a=7.4507 b=7.4507 c=7.4507 alpha=109.47 beta=109.47 gamma=109.47
Sites, in units of the cell vectors:
Tb 0.0000 0.0000 0.5000
Tb 0.0000 0.5000 0.0000
Tb 0.5000 0.0000 0.0000
Tb 0.5000 0.5000 0.5000
Ga 0.2500 0.5000 0.7500
Ga 0.2500 0.7500 0.5000
Ga 0.5000 0.2500 0.7500
Ga 0.5000 0.7500 0.2500
Ga 0.7500 0.2500 0.5000
Ga 0.7500 0.5000 0.2500
Fe 0.0000 0.0000 0.0000
Ge 0.0000 0.2879 0.2879
Ge 0.0000 0.7121 0.7121
Ge 0.2879 0.0000 0.2879
Ge 0.2879 0.2879 0.0000
Ge 0.7121 0.0000 0.7121
Ge 0.7121 0.7121 0.0000

Largest 10 diffraction maxima, by intensity, 15° ≤ 2θ ≤ 90°:
2θ/deg  I_rel
36.17  100
42.01  57
60.91  34
72.94  32
29.36  23
76.75  10
20.65  10
47.25  7
52.08  7
69.04  7


[2]
Starting from a structure optimized by DFT (GGA-PBE), the powder diffraction line list of Na2ZrNbSi2PO12 was simulated for Cu Kα (λ = 1.5418 Å).
Intensities are scaled so that the largest is 100.

Structure:
Unit cell a=9.0431 b=9.0431 c=9.2695 alpha=119.02 beta=119.02 gamma=60.30
Sites, in units of the cell vectors:
Na 0.0620 0.9380 0.5000
Na 0.3305 0.8129 0.2444
Na 0.8129 0.3305 0.7444
Na 0.9380 0.0620 0.0000
Zr 0.1682 0.6681 0.8084
Zr 0.6681 0.1682 0.3084
Nb 0.4648 0.9647 0.6880
Nb 0.9647 0.4648 0.1880
Si 0.0689 0.2746 0.4966
Si 0.2746 0.0689 0.9966
Si 0.7756 0.8558 0.5009
Si 0.8558 0.7756 0.0009
P 0.3566 0.5693 0.4995
P 0.5693 0.3566 0.9995
O 0.0349 0.7535 0.9795
O 0.0372 0.3085 0.3205
O 0.0897 0.2471 0.0192
O 0.1004 0.4466 0.6642
O 0.1845 0.5443 0.3361
O 0.2400 0.9017 0.9821
O 0.2471 0.0897 0.5192
O 0.3085 0.0372 0.8205
O 0.3282 0.5985 0.6615
O 0.3685 0.7436 0.5140
O 0.4105 0.5279 0.9786
O 0.4466 0.1004 0.1642
O 0.5279 0.4105 0.4786
O 0.5443 0.1845 0.8361
O 0.5932 0.8795 0.5204
O 0.5985 0.3282 0.1615
O 0.6747 0.8213 0.8308
O 0.7436 0.3685 0.0140
O 0.7535 0.0349 0.4795
O 0.8213 0.6747 0.3308
O 0.8328 0.9514 0.1725
O 0.8795 0.5932 0.0204
O 0.9017 0.2400 0.4821
O 0.9514 0.8328 0.6725

Largest 10 diffraction maxima, by intensity, 15° ≤ 2θ ≤ 90°:
2θ/deg  I_rel
19.61  100
19.13  87
30.51  74
22.80  57
27.53  51
34.25  32
30.58  31
46.63  25
43.85  19
50.14  19


[3]
Starting from a structure optimized by DFT (GGA-PBE), the powder diffraction line list of LiNi2S2 was simulated for Cu Kα (λ = 1.5418 Å).
Intensities are scaled so that the largest is 100.

Structure:
Unit cell a=6.9423 b=5.9980 c=7.4838 alpha=90.00 beta=117.60 gamma=90.00
Sites, in units of the cell vectors:
Li 0.2408 0.0054 0.4994
Li 0.2408 0.4946 0.9994
Li 0.7592 0.5054 0.0006
Li 0.7592 0.9946 0.5006
Ni 0.0673 0.1435 0.1369
Ni 0.0673 0.3565 0.6369
Ni 0.4331 0.6417 0.3615
Ni 0.4331 0.8583 0.8615
Ni 0.5669 0.1417 0.1385
Ni 0.5669 0.3583 0.6385
Ni 0.9327 0.6435 0.3631
Ni 0.9327 0.8565 0.8631
S 0.0971 0.7271 0.6902
S 0.0971 0.7729 0.1902
S 0.4049 0.2288 0.8126
S 0.4049 0.2712 0.3126
S 0.5951 0.7288 0.6874
S 0.5951 0.7712 0.1874
S 0.9029 0.2271 0.8098
S 0.9029 0.2729 0.3098

Largest 10 diffraction maxima, by intensity, 15° ≤ 2θ ≤ 90°:
2θ/deg  I_rel
29.75  100
29.03  90
48.84  55
19.96  54
48.62  48
32.77  41
52.74  28
51.32  27
52.84  27
54.76  24


Q: What is the formula in the first record?
A: Tb4Ga6FeGe6